Sr2CoOsO6: calculated powder X-ray diffraction pattern (Cu Kα (λ = 1.5418 Å)), based on the PBE+U geometry in OQMD.
Neutral-atom scattering factors, no anomalous dispersion.

Principal peaks in the range 2θ = 10–90°, low angle first:
- 19.52 deg, intensity 36
- 32.00 deg, intensity 100
- 32.44 deg, intensity 51
- 38.14 deg, intensity 13
- 45.24 deg, intensity 17
- 46.53 deg, intensity 30
- 56.76 deg, intensity 21
- 57.59 deg, intensity 41
- 66.91 deg, intensity 19
- 77.30 deg, intensity 9

Atomic structure:
Unit cell a=5.5203 b=5.5203 c=8.0178 alpha=90.00 beta=90.00 gamma=90.00
Space group I4/m (No. 87)
Symmetry-distinct sites (fractional):
1 Sr 0.0000 0.5000 0.2500
2 Co 0.0000 0.0000 0.0000
3 Os 0.0000 0.0000 0.5000
4 O 0.0000 0.0000 0.2592
5 O 0.2075 0.2826 0.5000